Computed powder X-ray diffraction pattern of K2Br3N2 for CuKα, from the GGA-PBE geometry in Alexandria.
Peak positions follow from Bragg's law for the DFT cell and can differ from measured ones.

Principal peaks in the range 2θ from 10° to 80°, sorted by position:
10.46 deg, d 8.453, I 29; 20.80 deg, d 4.271, I 59; 21.02 deg, d 4.227, I 53; 21.19 deg, d 4.193, I 35; 23.10 deg, d 3.851, I 29; 27.43 deg, d 3.252, I 100; 31.89 deg, d 2.806, I 84; 32.43 deg, d 2.761, I 43; 33.53 deg, d 2.672, I 57; 39.30 deg, d 2.293, I 31

Crystal structure
Unit cell a=5.0305 b=5.3592 c=8.5534 alpha=84.70 beta=81.52 gamma=67.20
Atoms (fractional coordinates):
K1 0.1897 0.2342 0.2674
K2 0.8103 0.7658 0.7326
Br1 0.2501 0.7491 0.0033
Br2 0.5000 0.5000 0.5000
Br3 0.7499 0.2509 0.9967
N1 0.1571 0.1365 0.6444
N2 0.8429 0.8635 0.3556


Computed powder X-ray diffraction pattern of CaNdPb6 for CuKα, from the GGA-PBE geometry in Alexandria.
Peak positions follow from Bragg's law for the DFT cell and can differ from measured ones.

Principal peaks in the range 2θ from 10° to 80°, sorted by position:
18.12 deg, d 4.896, I 4; 25.43 deg, d 3.503, I 4; 31.40 deg, d 2.849, I 100; 35.82 deg, d 2.507, I 18; 36.71 deg, d 2.448, I 33; 52.23 deg, d 1.751, I 25; 52.90 deg, d 1.731, I 12; 61.63 deg, d 1.505, I 15; 62.82 deg, d 1.479, I 29; 65.54 deg, d 1.424, I 13

Crystal structure
Unit cell a=4.8958 b=4.8958 c=10.0269 alpha=90.00 beta=90.00 gamma=90.00
Atoms (fractional coordinates):
Ca1 0.0000 0.0000 0.0000
Nd1 0.0000 0.0000 0.5000
Pb1 0.0000 0.5000 0.2480
Pb2 0.0000 0.5000 0.7520
Pb3 0.5000 0.0000 0.2480
Pb4 0.5000 0.0000 0.7520
Pb5 0.5000 0.5000 0.0000
Pb6 0.5000 0.5000 0.5000


Computed powder X-ray diffraction pattern of Ba3Sr3Tl2Ga for CuKα, from the GGA-PBE geometry in Alexandria.
Peak positions follow from Bragg's law for the DFT cell and can differ from measured ones.

Principal peaks in the range 2θ from 10° to 80°, sorted by position:
26.62 deg, d 3.348, I 100; 27.70 deg, d 3.220, I 69; 28.65 deg, d 3.116, I 90; 31.50 deg, d 2.840, I 61; 34.06 deg, d 2.632, I 59; 39.44 deg, d 2.285, I 26; 48.87 deg, d 1.864, I 29; 50.80 deg, d 1.797, I 44; 51.32 deg, d 1.780, I 31; 53.18 deg, d 1.722, I 25

Crystal structure
Unit cell a=9.8387 b=9.8387 c=4.5698 alpha=90.00 beta=90.00 gamma=120.00
Atoms (fractional coordinates):
Ba1 0.0000 0.7477 0.0000
Ba2 0.2523 0.2523 0.0000
Ba3 0.7477 0.0000 0.0000
Sr1 0.0000 0.4069 0.5000
Sr2 0.4069 0.0000 0.5000
Sr3 0.5931 0.5931 0.5000
Tl1 0.3333 0.6667 0.0000
Tl2 0.6667 0.3333 0.0000
Ga1 0.0000 0.0000 0.5000


Computed powder X-ray diffraction pattern of HoSi2Ni9 for CuKα, from the GGA-PBE geometry in Alexandria.
Peak positions follow from Bragg's law for the DFT cell and can differ from measured ones.

Principal peaks in the range 2θ from 10° to 80°, sorted by position:
25.79 deg, d 3.454, I 10; 31.07 deg, d 2.878, I 11; 31.83 deg, d 2.811, I 9; 36.22 deg, d 2.480, I 16; 40.81 deg, d 2.211, I 8; 41.38 deg, d 2.182, I 100; 45.16 deg, d 2.008, I 14; 48.91 deg, d 1.862, I 16; 51.29 deg, d 1.781, I 9; 75.42 deg, d 1.260, I 15

Crystal structure
Unit cell a=7.5625 b=7.5625 c=7.5625 alpha=99.53 beta=99.53 gamma=131.97
Atoms (fractional coordinates):
Ho1 0.3750 0.6250 0.7500
Ho2 0.6250 0.3750 0.2500
Si1 0.0000 0.0000 0.0000
Si2 0.0000 0.0000 0.5000
Si3 0.0000 0.5000 0.0000
Si4 0.5000 0.0000 0.5000
Ni1 0.1250 0.8750 0.2500
Ni2 0.1373 0.5612 0.3286
Ni3 0.1373 0.8087 0.5761
Ni4 0.1913 0.2674 0.3286
Ni5 0.1913 0.8627 0.9239
Ni6 0.2674 0.1913 0.8286
Ni7 0.2674 0.4388 0.0761
Ni8 0.4388 0.2674 0.5761
Ni9 0.4388 0.8627 0.1714
Ni10 0.5612 0.1373 0.8286
Ni11 0.5612 0.7326 0.4239
Ni12 0.7326 0.5612 0.9239
Ni13 0.7326 0.8087 0.1714
Ni14 0.8087 0.1373 0.0761
Ni15 0.8087 0.7326 0.6714
Ni16 0.8627 0.1913 0.4239
Ni17 0.8627 0.4388 0.6714
Ni18 0.8750 0.1250 0.7500